Record 1
Computed powder diffraction line list
Compound: SmPu2Hg6
Radiation: copper Kα
Structure: a cell relaxed with GGA-PBE

Largest 10 diffraction maxima, in order of falling intensity, 10° ≤ 2θ ≤ 90°:
2θ 33.83, intensity 100, hkl 1 1 3; 2θ 35.36, intensity 100, hkl 3 0 0; 2θ 62.50, intensity 35, hkl 4 1 3; 2θ 49.74, intensity 34, hkl 2 2 3; 2θ 67.41, intensity 31, hkl 3 0 6; 2θ 63.47, intensity 19, hkl 3 3 0; 2θ 89.12, intensity 16, hkl 3 3 6; 2θ 84.67, intensity 16, hkl 5 2 3; 2θ 74.79, intensity 12, hkl 6 0 0; 2θ 44.95, intensity 11, hkl 3 0 3

Crystal structure
Unit cell a=8.7944 b=8.7944 c=9.9589 alpha=90.00 beta=90.00 gamma=120.00
Space group R-3m (No. 166, hexagonal axes)
Symmetry-distinct sites (fractional):
Sm  0.0000  0.0000  0.0000
Pu  0.0000  0.0000  0.3394
Hg  0.0000  0.3342  0.5000


Record 2
Computed powder diffraction line list
Compound: Dy3Ag3TeS8
Radiation: copper Kα
Structure: a cell relaxed with GGA-PBE

Largest 10 diffraction maxima, in order of falling intensity, 10° ≤ 2θ ≤ 90°:
2θ 32.12, intensity 100, hkl 2 2 -2; 2θ 27.52, intensity 69, hkl 2 2 0; 2θ 45.50, intensity 55, hkl 2 2 2; 2θ 32.22, intensity 50, hkl 4 0 0; 2θ 46.76, intensity 34, hkl 6 2 -2; 2θ 28.45, intensity 21, hkl 4 0 -2; 2θ 14.12, intensity 21, hkl 2 0 -1; 2θ 56.84, intensity 18, hkl 4 4 0; 2θ 46.63, intensity 17, hkl 4 0 -4; 2θ 75.56, intensity 16, hkl 0 4 4

Crystal structure
Unit cell a=13.349 b=7.976 c=7.797 alpha=90.00 beta=123.65 gamma=90.00
Space group C2/m (No. 12)
Symmetry-distinct sites (fractional):
Dy  0.000  0.000  0.000
Dy  0.250  0.250  0.500
Ag  0.000  0.500  0.500
Ag  0.250  0.250  0.000
Te  0.000  0.500  0.000
S  0.002  0.258  0.239
S  0.240  0.500  0.246
S  0.246  0.000  0.256